# SrDyCr4O12
Simulated PXRD pattern, a wavelength of 1.5418 Å. Input: DFT lattice parameters and positions (GGA+U).
Neutral-atom scattering factors, no anomalous dispersion.

Crystal structure
abc: 6.594 7.362 9.808
angles: 90.00 90.00 90.00
Space group Amm2 (No. 38)
Asymmetric unit:
Sr 0.000 0.000 0.000 (multiplicity 2)
Dy 0.500 0.000 0.512 (multiplicity 2)
Cr 0.253 0.248 0.229 (multiplicity 8)
O 0.000 0.182 0.786 (multiplicity 4)
O 0.171 0.000 0.242 (multiplicity 4)
O 0.267 0.241 0.553 (multiplicity 8)
O 0.337 0.000 0.740 (multiplicity 4)
O 0.500 0.178 0.308 (multiplicity 4)

Principal peaks in the range 2θ = 10–90°, low angle first:
(hkl)	2θ/deg	intensity
1 1 1	20.22	100
0 2 2	30.36	38
2 0 2	32.73	35
1 1 3	32.91	21
0 0 4	36.61	57
1 3 1	40.28	16
3 1 1	43.97	13
2 2 4	52.75	17
2 4 2	60.64	14
4 2 2	64.82	13